[1]
Simulated powder X-ray diffraction pattern
Compound: NaTi2Co
Radiation: Cu Kα
Structure: the GGA-PBE geometry in Alexandria

a b c (Å): 4.4374 4.4374 4.4374
angles (deg): 60.00 60.00 60.00
Sites, in units of the cell vectors:
Na1 0.0000 0.0000 0.0000
Ti1 0.2500 0.2500 0.2500
Ti2 0.7500 0.7500 0.7500
Co1 0.5000 0.5000 0.5000

Most intense lines, 2θ from 5° to 70°, by angle:
- d 3.623, 24.6°, intensity 11.5
- d 2.219, 40.7°, intensity 100.0
- d 1.892, 48.1°, intensity 5.2
- d 1.569, 58.9°, intensity 15.2
- d 1.440, 64.8°, intensity 2.0

***

[2]
Simulated powder X-ray diffraction pattern
Compound: NaTl2Co2
Radiation: Cu Kα
Structure: the GGA-PBE geometry in Alexandria

a b c (Å): 9.6974 9.6974 9.6974
angles (deg): 160.05 160.05 28.37
Sites, in units of the cell vectors:
Na1 0.0000 0.0000 0.0000
Tl1 0.3710 0.3710 0.0000
Tl2 0.6290 0.6290 0.0000
Co1 0.2500 0.7500 0.5000
Co2 0.7500 0.2500 0.5000

Most intense lines, 2θ from 5° to 70°, by angle:
- d 9.402, 9.4°, intensity 51.8
- d 4.701, 18.9°, intensity 42.6
- d 3.308, 27.0°, intensity 77.4
- d 2.962, 30.2°, intensity 100.0
- d 2.506, 35.8°, intensity 43.1
- d 2.376, 37.9°, intensity 23.0
- d 2.350, 38.3°, intensity 36.2
- d 2.121, 42.6°, intensity 90.9
- d 2.098, 43.1°, intensity 33.0
- d 1.680, 54.6°, intensity 26.5
- d 1.461, 63.7°, intensity 24.3
- d 1.367, 68.7°, intensity 25.6

***

[3]
Simulated powder X-ray diffraction pattern
Compound: Nb5Co
Radiation: Cu Kα
Structure: the GGA-PBE geometry in Alexandria

a b c (Å): 7.1393 7.1393 3.2785
angles (deg): 90.00 90.00 142.41
Sites, in units of the cell vectors:
Nb1 0.0000 0.0000 0.0000
Nb2 0.1642 0.8358 0.5000
Nb3 0.3398 0.6602 0.0000
Nb4 0.6602 0.3398 0.0000
Nb5 0.8358 0.1642 0.5000
Co1 0.5000 0.5000 0.5000

Most intense lines, 2θ from 5° to 70°, by angle:
- d 4.355, 20.4°, intensity 0.7
- d 3.379, 26.4°, intensity 1.0
- d 2.619, 34.2°, intensity 0.7
- d 2.298, 39.2°, intensity 100.0
- d 2.253, 40.0°, intensity 18.5
- d 1.639, 56.1°, intensity 6.8
- d 1.610, 57.2°, intensity 12.6
- d 1.565, 59.0°, intensity 0.7

***

[4]
Simulated powder X-ray diffraction pattern
Compound: Nb2Co3
Radiation: Cu Kα
Structure: the GGA-PBE geometry in Alexandria

a b c (Å): 4.8065 4.8065 6.8493
angles (deg): 90.00 90.00 119.49
Sites, in units of the cell vectors:
Nb1 0.1560 0.8440 0.8997
Nb2 0.3440 0.6560 0.3997
Nb3 0.6560 0.3440 0.6003
Nb4 0.8440 0.1560 0.1003
Co1 0.0000 0.0000 0.5000
Co2 0.1401 0.3599 0.7500
Co3 0.3599 0.1401 0.2500
Co4 0.5000 0.5000 0.0000
Co5 0.6401 0.8599 0.7500
Co6 0.8599 0.6401 0.2500

Most intense lines, 2θ from 5° to 70°, by angle:
- d 2.650, 33.8°, intensity 52.0
- d 2.422, 37.1°, intensity 7.3
- d 2.268, 39.8°, intensity 65.8
- d 2.076, 43.6°, intensity 9.9
- d 2.001, 45.3°, intensity 100.0
- d 1.987, 45.7°, intensity 7.5
- d 1.977, 45.9°, intensity 28.1
- d 1.584, 58.3°, intensity 8.5
- d 1.438, 64.8°, intensity 7.5
- d 1.428, 65.4°, intensity 10.2
- d 1.398, 66.9°, intensity 6.9
- d 1.366, 68.7°, intensity 12.2

***

[5]
Simulated powder X-ray diffraction pattern
Compound: Nb2Co3Ni
Radiation: Cu Kα
Structure: the GGA-PBE geometry in Alexandria

a b c (Å): 4.7932 4.7932 7.7525
angles (deg): 90.00 90.00 120.00
Sites, in units of the cell vectors:
Nb1 0.3333 0.6667 0.0625
Nb2 0.3333 0.6667 0.4375
Nb3 0.6667 0.3333 0.5625
Nb4 0.6667 0.3333 0.9375
Co1 0.1684 0.3368 0.7500
Co2 0.1684 0.8316 0.7500
Co3 0.3368 0.1684 0.2500
Co4 0.6632 0.8316 0.7500
Co5 0.8316 0.1684 0.2500
Co6 0.8316 0.6632 0.2500
Ni1 0.0000 0.0000 0.0000
Ni2 0.0000 0.0000 0.5000

Most intense lines, 2θ from 5° to 70°, by angle:
- d 2.833, 31.6°, intensity 3.7
- d 2.397, 37.5°, intensity 44.9
- d 2.194, 41.1°, intensity 79.0
- d 2.076, 43.6°, intensity 11.7
- d 2.038, 44.4°, intensity 100.0
- d 2.005, 45.2°, intensity 69.1
- d 1.938, 46.9°, intensity 12.9
- d 1.830, 49.8°, intensity 8.1
- d 1.756, 52.1°, intensity 7.7
- d 1.453, 64.1°, intensity 6.2
- d 1.384, 67.7°, intensity 7.6

***

[6]
Simulated powder X-ray diffraction pattern
Compound: NbCo2Ni3
Radiation: Cu Kα
Structure: the GGA-PBE geometry in Alexandria

a b c (Å): 8.5189 8.1319 4.4406
angles (deg): 79.41 69.77 30.82
Sites, in units of the cell vectors:
Nb1 0.1250 0.1250 0.1250
Nb2 0.8750 0.8750 0.8750
Co1 0.0449 0.0449 0.7051
Co2 0.2949 0.2949 0.9551
Co3 0.7051 0.7051 0.0449
Co4 0.9551 0.9551 0.2949
Ni1 0.2146 0.2146 0.5354
Ni2 0.3750 0.3750 0.3750
Ni3 0.4646 0.4646 0.7854
Ni4 0.5354 0.5354 0.2146
Ni5 0.6250 0.6250 0.6250
Ni6 0.7854 0.7854 0.4646

Most intense lines, 2θ from 5° to 70°, by angle:
- d 4.050, 21.9°, intensity 0.8
- d 3.857, 23.1°, intensity 0.5
- d 3.275, 27.2°, intensity 1.5
- d 3.251, 27.4°, intensity 1.3
- d 2.486, 36.1°, intensity 1.8
- d 2.444, 36.8°, intensity 0.7
- d 2.097, 43.1°, intensity 100.0
- d 1.820, 50.1°, intensity 31.1
- d 1.808, 50.5°, intensity 15.6
- d 1.783, 51.3°, intensity 0.7
- d 1.420, 65.8°, intensity 0.6

***

[7]
Simulated powder X-ray diffraction pattern
Compound: NbCoNiPd
Radiation: Cu Kα
Structure: the GGA-PBE geometry in Alexandria

a b c (Å): 4.2513 4.2513 4.2513
angles (deg): 60.00 60.00 60.00
Sites, in units of the cell vectors:
Nb1 0.0000 0.0000 0.0000
Co1 0.2500 0.2500 0.2500
Ni1 0.7500 0.7500 0.7500
Pd1 0.5000 0.5000 0.5000

Most intense lines, 2θ from 5° to 70°, by angle:
- d 3.006, 29.7°, intensity 7.1
- d 2.126, 42.5°, intensity 100.0
- d 1.736, 52.7°, intensity 2.0
- d 1.503, 61.7°, intensity 15.8
- d 1.344, 70.0°, intensity 2.7

***

[8]
Simulated powder X-ray diffraction pattern
Compound: NbCoNiPt
Radiation: Cu Kα
Structure: the GGA-PBE geometry in Alexandria

a b c (Å): 3.6643 3.7681 3.9368
angles (deg): 90.00 90.00 90.00
Sites, in units of the cell vectors:
Nb1 0.0000 0.0000 0.0000
Co1 0.5000 0.5000 0.0000
Ni1 0.5000 0.0000 0.5000
Pt1 0.0000 0.5000 0.5000

Most intense lines, 2θ from 5° to 70°, by angle:
- d 3.937, 22.6°, intensity 6.5
- d 3.768, 23.6°, intensity 5.2
- d 3.664, 24.3°, intensity 14.7
- d 2.722, 32.9°, intensity 13.7
- d 2.682, 33.4°, intensity 4.5
- d 2.627, 34.1°, intensity 4.8
- d 2.185, 41.3°, intensity 100.0
- d 1.968, 46.1°, intensity 18.1
- d 1.884, 48.3°, intensity 15.8
- d 1.832, 49.8°, intensity 14.4
- d 1.520, 61.0°, intensity 5.1
- d 1.361, 69.0°, intensity 10.6

***

Q: Which formula does entry 4 have?
A: Nb2Co3